# Tb6Sm4Dy19
Simulated powder diffraction line list, Cu Kα. Input: a crystal structure in Alexandria, relaxed with PBE.
No peak broadening, texture or thermal motion is included.

Structure:
a b c (Å): 10.7758 10.7758 10.7758
angles (deg): 109.47 109.47 109.47
Fractional coordinates of all 29 atoms:
Tb: 0.1254 0.5000 0.6254
Tb: 0.3746 0.8746 0.5000
Tb: 0.5000 0.3746 0.8746
Tb: 0.5000 0.6254 0.1254
Tb: 0.6254 0.1254 0.5000
Tb: 0.8746 0.5000 0.3746
Sm: 0.0000 0.0000 0.3601
Sm: 0.0000 0.3601 0.0000
Sm: 0.3601 0.0000 0.0000
Sm: 0.6399 0.6399 0.6399
Dy: 0.0000 0.0000 0.0000
Dy: 0.0000 0.2594 0.2594
Dy: 0.0000 0.7406 0.7406
Dy: 0.0164 0.2168 0.6758
Dy: 0.2004 0.9836 0.6594
Dy: 0.2168 0.6758 0.0164
Dy: 0.2594 0.0000 0.2594
Dy: 0.2594 0.2594 0.0000
Dy: 0.3242 0.5410 0.3406
Dy: 0.3406 0.3242 0.5410
Dy: 0.4590 0.7832 0.7996
Dy: 0.5410 0.3406 0.3242
Dy: 0.6594 0.2004 0.9836
Dy: 0.6758 0.0164 0.2168
Dy: 0.7406 0.0000 0.7406
Dy: 0.7406 0.7406 0.0000
Dy: 0.7832 0.7996 0.4590
Dy: 0.7996 0.4590 0.7832
Dy: 0.9836 0.6594 0.2004

Peak list (6 most intense, 2θ from 10° to 90°, in order of rising 2θ)
2θ 26.8, I 49
2θ 28.7, I 62
2θ 30.5, I 100
2θ 35.3, I 41
2θ 36.8, I 73
2θ 60.4, I 29